Theoretical PXRD pattern
Compound: Ti2H2O3
Radiation: Cu Kα X-rays
Structure: the GGA-PBE geometry in Alexandria
Lines closer than 0.1° are merged.

Structural model:
abc: 3.1196 3.1196 9.0312
angles: 90.00 90.00 120.00
Space group P-3m1 (No. 164)
Asymmetric unit:
Ti 0.3333 0.6667 0.1201 (multiplicity 2)
H 0.3333 0.6667 0.6411 (multiplicity 2)
O 0.0000 0.0000 0.0000 (multiplicity 1)
O 0.3333 0.6667 0.7507 (multiplicity 2)

Peak list (10 most intense, 5° ≤ 2θ ≤ 70°, in order of rising 2θ)
h k l	two_theta	I_rel
0 0 1	9.79	100
0 0 3	29.68	2
1 0 0	33.16	5
1 0 1	34.66	3
0 1 2	38.84	21
0 1 3	45.09	17
0 1 4	52.84	2
1 1 0	59.24	7
1 1 1	60.21	4
1 0 5	61.78	5